Entry 1:
The following is a calculated powder diffraction line list of Na2LaCrN4. It was derived from a GGA-PBE-relaxed structure, using CuKα.
Intensities are scaled so that the largest is 100.

Principal peaks in the range 2θ = 15–90°, sorted by position:
20.5 deg, I 79.5; 24.3 deg, I 50.6; 26.2 deg, I 32.4; 29.3 deg, I 100.0; 30.7 deg, I 73.9; 31.8 deg, I 60.3; 33.4 deg, I 74.2; 41.9 deg, I 27.4; 43.8 deg, I 61.9; 50.9 deg, I 27.7

Crystal structure
Cell: 6.8135 6.8210 5.6240 Å, 90.00 90.00 90.00°
Sites, in units of the cell vectors:
Na1 0.2342 0.1311 0.0000
Na2 0.2658 0.8689 0.5000
Na3 0.7342 0.8689 0.5000
Na4 0.7658 0.1311 0.0000
La1 0.0000 0.4065 0.5121
La2 0.5000 0.5935 0.0121
Cr1 0.0000 0.6811 0.9868
Cr2 0.5000 0.3189 0.4868
N1 0.0000 0.4269 0.0329
N2 0.0000 0.7155 0.6818
N3 0.2151 0.7875 0.0944
N4 0.2849 0.2125 0.5944
N5 0.5000 0.2845 0.1818
N6 0.5000 0.5731 0.5329
N7 0.7151 0.2125 0.5944
N8 0.7849 0.7875 0.0944

Entry 2:
The following is a calculated powder diffraction line list of NaLaCrN3. It was derived from a GGA-PBE-relaxed structure, using CuKα.
Intensities are scaled so that the largest is 100.

Principal peaks in the range 2θ = 15–90°, sorted by position:
25.0 deg, I 55.6; 27.1 deg, I 57.4; 29.8 deg, I 75.5; 30.7 deg, I 100.0; 32.0 deg, I 84.2; 36.3 deg, I 77.5; 38.2 deg, I 64.1; 41.8 deg, I 54.5; 45.4 deg, I 44.5; 48.6 deg, I 33.7

Crystal structure
Cell: 7.3876 7.3876 7.3876 Å, 150.60 125.07 63.52°
Sites, in units of the cell vectors:
Na1 0.1048 0.1048 0.0000
Na2 0.8952 0.8952 0.0000
La1 0.3150 0.8150 0.5000
La2 0.6850 0.1850 0.5000
Cr1 0.3050 0.5000 0.8050
Cr2 0.6950 0.5000 0.1950
N1 0.0949 0.3603 0.7346
N2 0.3240 0.0000 0.3240
N3 0.3742 0.6397 0.7346
N4 0.6258 0.3603 0.2654
N5 0.6760 0.0000 0.6760
N6 0.9051 0.6397 0.2654

Entry 3:
The following is a calculated powder diffraction line list of LaCrSN2. It was derived from a GGA-PBE-relaxed structure, using CuKα.
Intensities are scaled so that the largest is 100.

Principal peaks in the range 2θ = 15–90°, sorted by position:
19.0 deg, I 22.4; 29.8 deg, I 100.0; 32.4 deg, I 62.4; 37.8 deg, I 42.8; 38.5 deg, I 31.3; 46.5 deg, I 35.1; 51.1 deg, I 34.2; 56.2 deg, I 32.8; 61.8 deg, I 28.1; 89.7 deg, I 14.4

Crystal structure
Cell: 3.9087 3.9087 4.6824 Å, 90.00 90.00 90.00°
Sites, in units of the cell vectors:
La1 0.0000 0.0000 0.0000
Cr1 0.5000 0.5000 0.5000
S1 0.5000 0.5000 0.0000
N1 0.0000 0.5000 0.5000
N2 0.5000 0.0000 0.5000

Entry 4:
The following is a calculated powder diffraction line list of La2TiCr2N6. It was derived from a GGA-PBE-relaxed structure, using CuKα.
Intensities are scaled so that the largest is 100.

Principal peaks in the range 2θ = 15–90°, sorted by position:
21.1 deg, I 18.2; 28.8 deg, I 36.1; 31.2 deg, I 100.0; 33.5 deg, I 50.0; 38.0 deg, I 17.5; 43.0 deg, I 26.0; 46.4 deg, I 17.9; 55.6 deg, I 18.9; 57.0 deg, I 21.5; 61.7 deg, I 27.5

Crystal structure
Cell: 6.2460 6.2460 6.2460 Å, 54.57 54.57 54.57°
Sites, in units of the cell vectors:
La1 0.2232 0.2232 0.2232
La2 0.7768 0.7768 0.7768
Ti1 0.0000 0.0000 0.0000
Cr1 0.4316 0.4316 0.4316
Cr2 0.5684 0.5684 0.5684
N1 0.2406 0.2406 0.7538
N2 0.2406 0.7538 0.2406
N3 0.2462 0.7594 0.7594
N4 0.7538 0.2406 0.2406
N5 0.7594 0.2462 0.7594
N6 0.7594 0.7594 0.2462

Entry 5:
The following is a calculated powder diffraction line list of La2VCrN5. It was derived from a GGA-PBE-relaxed structure, using CuKα.
Intensities are scaled so that the largest is 100.

Principal peaks in the range 2θ = 15–90°, sorted by position:
25.2 deg, I 43.7; 27.3 deg, I 27.6; 29.8 deg, I 83.1; 31.1 deg, I 56.7; 32.8 deg, I 100.0; 34.0 deg, I 28.8; 38.7 deg, I 65.4; 45.8 deg, I 31.0; 47.4 deg, I 31.3; 63.5 deg, I 30.7

Crystal structure
Cell: 7.2513 7.2513 9.9519 Å, 90.00 90.00 153.23°
Sites, in units of the cell vectors:
La1 0.1240 0.8760 0.5000
La2 0.1323 0.8677 0.1087
La3 0.8677 0.1323 0.6087
La4 0.8760 0.1240 0.0000
V1 0.4362 0.5638 0.2694
V2 0.5638 0.4362 0.7694
Cr1 0.2172 0.7828 0.8287
Cr2 0.7828 0.2172 0.3287
N1 0.0458 0.9542 0.8507
N2 0.2964 0.7036 0.4470
N3 0.3150 0.6850 0.1952
N4 0.3374 0.6626 0.8164
N5 0.4963 0.5037 0.1148
N6 0.5037 0.4963 0.6148
N7 0.6626 0.3374 0.3164
N8 0.6850 0.3150 0.6952
N9 0.7036 0.2964 0.9470
N10 0.9542 0.0458 0.3507

Entry 6:
The following is a calculated powder diffraction line list of LaCrNi4. It was derived from a GGA-PBE-relaxed structure, using CuKα.
Intensities are scaled so that the largest is 100.

Principal peaks in the range 2θ = 15–90°, sorted by position:
21.8 deg, I 7.7; 25.2 deg, I 10.2; 35.9 deg, I 39.7; 42.4 deg, I 100.0; 44.4 deg, I 29.6; 58.4 deg, I 3.6; 64.6 deg, I 13.5; 69.0 deg, I 29.5; 76.1 deg, I 22.1; 87.2 deg, I 5.9

Crystal structure
Cell: 5.0005 5.0005 5.0005 Å, 60.00 60.00 60.00°
Sites, in units of the cell vectors:
La1 0.0000 0.0000 0.0000
Cr1 0.2500 0.2500 0.2500
Ni1 0.1293 0.6236 0.6236
Ni2 0.6236 0.1293 0.6236
Ni3 0.6236 0.6236 0.1293
Ni4 0.6236 0.6236 0.6236